(1)
The following is a computed powder XRD pattern of Bi9I2. It was derived from DFT lattice parameters and positions (GGA-PBE), using copper Kα.
Peak positions follow from Bragg's law for the DFT cell and can differ from measured ones.

Principal peaks in the range 10 to 90 degrees two-theta, by intensity:
d = 3.398 Å, I 1000; d = 3.274 Å, I 481; d = 2.475 Å, I 391; d = 2.256 Å, I 345; d = 1.850 Å, I 197; d = 2.603 Å, I 185; d = 2.242 Å, I 184; d = 1.699 Å, I 111; d = 2.195 Å, I 94; d = 1.322 Å, I 90

Atomic structure:
```
data_Bi9I2
_chemical_formula_sum 'Bi18 I4'
_cell_length_a 13.528
_cell_length_b 4.484
_cell_length_c 15.448
_cell_angle_alpha 90.00
_cell_angle_beta 114.98
_cell_angle_gamma 90.00
_space_group_name_H-M_alt 'P 1'
_space_group_IT_number 1
loop_
_space_group_symop_operation_xyz
'x,y,z'
loop_
_atom_site_label
_atom_site_type_symbol
_atom_site_fract_x
_atom_site_fract_y
_atom_site_fract_z
Bi1 Bi 0.004 0.250 0.333
Bi2 Bi 0.061 0.750 0.071
Bi3 Bi 0.115 0.250 0.810
Bi4 Bi 0.199 0.250 0.280
Bi5 Bi 0.259 0.750 0.018
Bi6 Bi 0.306 0.250 0.751
Bi7 Bi 0.317 0.750 0.427
Bi8 Bi 0.377 0.250 0.161
Bi9 Bi 0.426 0.750 0.893
Bi10 Bi 0.574 0.250 0.107
Bi11 Bi 0.623 0.750 0.839
Bi12 Bi 0.683 0.250 0.573
Bi13 Bi 0.694 0.750 0.249
Bi14 Bi 0.741 0.250 0.982
Bi15 Bi 0.801 0.750 0.720
Bi16 Bi 0.885 0.750 0.190
Bi17 Bi 0.939 0.250 0.929
Bi18 Bi 0.996 0.750 0.667
I1 I 0.163 0.750 0.534
I2 I 0.486 0.250 0.627
I3 I 0.514 0.750 0.373
I4 I 0.837 0.250 0.466
```

---

(2)
The following is a computed powder XRD pattern of Er3O2F5. It was derived from DFT lattice parameters and positions (GGA-PBE), using copper Kα.
Peak positions follow from Bragg's law for the DFT cell and can differ from measured ones.

Principal peaks in the range 10 to 90 degrees two-theta, by intensity:
d = 3.211 Å, I 1000; d = 2.863 Å, I 174; d = 1.633 Å, I 173; d = 1.957 Å, I 143; d = 1.712 Å, I 129; d = 2.807 Å, I 117; d = 3.878 Å, I 108; d = 2.108 Å, I 107; d = 2.681 Å, I 105; d = 2.004 Å, I 100

Atomic structure:
```
data_Er3O2F5
_chemical_formula_sum 'Er12 O8 F20'
_cell_length_a 5.615
_cell_length_b 17.176
_cell_length_c 5.362
_cell_angle_alpha 90.00
_cell_angle_beta 90.00
_cell_angle_gamma 90.00
_space_group_name_H-M_alt 'P 1'
_space_group_IT_number 1
loop_
_space_group_symop_operation_xyz
'x,y,z'
loop_
_atom_site_label
_atom_site_type_symbol
_atom_site_fract_x
_atom_site_fract_y
_atom_site_fract_z
Er1 Er 0.175 0.097 0.039
Er2 Er 0.175 0.403 0.039
Er3 Er 0.239 0.250 0.457
Er4 Er 0.261 0.750 0.957
Er5 Er 0.325 0.597 0.539
Er6 Er 0.325 0.903 0.539
Er7 Er 0.675 0.097 0.461
Er8 Er 0.675 0.403 0.461
Er9 Er 0.739 0.250 0.043
Er10 Er 0.761 0.750 0.543
Er11 Er 0.825 0.597 0.961
Er12 Er 0.825 0.903 0.961
O1 O 0.037 0.669 0.705
O2 O 0.037 0.831 0.705
O3 O 0.463 0.169 0.205
O4 O 0.463 0.331 0.205
O5 O 0.537 0.669 0.795
O6 O 0.537 0.831 0.795
O7 O 0.963 0.169 0.295
O8 O 0.963 0.331 0.295
F1 F 0.112 0.250 0.857
F2 F 0.117 0.515 0.786
F3 F 0.117 0.985 0.786
F4 F 0.162 0.626 0.176
F5 F 0.162 0.874 0.176
F6 F 0.338 0.126 0.676
F7 F 0.338 0.374 0.676
F8 F 0.383 0.015 0.286
F9 F 0.383 0.485 0.286
F10 F 0.388 0.750 0.357
F11 F 0.612 0.250 0.643
F12 F 0.617 0.515 0.714
F13 F 0.617 0.985 0.714
F14 F 0.662 0.626 0.324
F15 F 0.662 0.874 0.324
F16 F 0.838 0.126 0.824
F17 F 0.838 0.374 0.824
F18 F 0.883 0.015 0.214
F19 F 0.883 0.485 0.214
F20 F 0.888 0.750 0.143
```

---

(3)
The following is a computed powder XRD pattern of CsInS2. It was derived from DFT lattice parameters and positions (GGA-PBE), using copper Kα.
Peak positions follow from Bragg's law for the DFT cell and can differ from measured ones.

Principal peaks in the range 10 to 90 degrees two-theta, by intensity:
d = 3.055 Å, I 1000; d = 3.057 Å, I 991; d = 4.012 Å, I 892; d = 1.808 Å, I 739; d = 3.610 Å, I 693; d = 1.686 Å, I 648; d = 2.021 Å, I 638; d = 4.084 Å, I 540; d = 3.567 Å, I 434; d = 2.935 Å, I 361

Atomic structure:
```
data_CsInS2
_chemical_formula_sum 'Cs8 In8 S16'
_cell_length_a 8.085
_cell_length_b 8.085
_cell_length_c 16.585
_cell_angle_alpha 96.98
_cell_angle_beta 96.98
_cell_angle_gamma 89.99
_space_group_name_H-M_alt 'P 1'
_space_group_IT_number 1
loop_
_space_group_symop_operation_xyz
'x,y,z'
loop_
_atom_site_label
_atom_site_type_symbol
_atom_site_fract_x
_atom_site_fract_y
_atom_site_fract_z
Cs1 Cs 0.151 0.777 0.608
Cs2 Cs 0.223 0.849 0.892
Cs3 Cs 0.224 0.347 0.893
Cs4 Cs 0.347 0.224 0.393
Cs5 Cs 0.653 0.776 0.607
Cs6 Cs 0.776 0.653 0.107
Cs7 Cs 0.777 0.151 0.108
Cs8 Cs 0.849 0.223 0.392
In1 In 0.086 0.708 0.335
In2 In 0.291 0.419 0.166
In3 In 0.292 0.914 0.165
In4 In 0.419 0.291 0.666
In5 In 0.581 0.709 0.334
In6 In 0.708 0.086 0.835
In7 In 0.709 0.581 0.834
In8 In 0.914 0.292 0.665
S1 S 0.055 0.432 0.249
S2 S 0.056 0.944 0.250
S3 S 0.144 0.269 0.576
S4 S 0.269 0.144 0.076
S5 S 0.270 0.643 0.073
S6 S 0.357 0.730 0.427
S7 S 0.431 0.569 0.750
S8 S 0.432 0.055 0.749
S9 S 0.568 0.945 0.251
S10 S 0.569 0.431 0.250
S11 S 0.643 0.270 0.573
S12 S 0.730 0.357 0.927
S13 S 0.731 0.856 0.924
S14 S 0.856 0.731 0.424
S15 S 0.944 0.056 0.750
S16 S 0.945 0.568 0.751
```

---

(4)
The following is a computed powder XRD pattern of Cs2Tb6Te7N2. It was derived from DFT lattice parameters and positions (GGA-PBE), using copper Kα.
Peak positions follow from Bragg's law for the DFT cell and can differ from measured ones.

Principal peaks in the range 10 to 90 degrees two-theta, by intensity:
d = 3.418 Å, I 1000; d = 2.911 Å, I 727; d = 2.950 Å, I 647; d = 2.112 Å, I 558; d = 3.147 Å, I 491; d = 3.652 Å, I 487; d = 2.279 Å, I 454; d = 2.838 Å, I 407; d = 2.370 Å, I 374; d = 7.307 Å, I 349

Atomic structure:
```
data_Cs2Tb6Te7N2
_chemical_formula_sum 'Cs2 Tb6 Te7 N2'
_cell_length_a 12.326
_cell_length_b 12.326
_cell_length_c 11.536
_cell_angle_alpha 103.50
_cell_angle_beta 103.50
_cell_angle_gamma 19.73
_space_group_name_H-M_alt 'P 1'
_space_group_IT_number 1
loop_
_space_group_symop_operation_xyz
'x,y,z'
loop_
_atom_site_label
_atom_site_type_symbol
_atom_site_fract_x
_atom_site_fract_y
_atom_site_fract_z
Cs1 Cs 0.000 0.000 0.000
Cs2 Cs 0.132 0.132 0.396
Tb1 Tb 0.229 0.229 0.085
Tb2 Tb 0.280 0.280 0.828
Tb3 Tb 0.473 0.473 0.558
Tb4 Tb 0.656 0.656 0.832
Tb5 Tb 0.850 0.850 0.566
Tb6 Tb 0.900 0.900 0.307
Te1 Te 0.065 0.065 0.693
Te2 Te 0.306 0.306 0.357
Te3 Te 0.400 0.400 0.754
Te4 Te 0.489 0.489 0.292
Te5 Te 0.640 0.640 0.099
Te6 Te 0.729 0.729 0.639
Te7 Te 0.825 0.825 0.035
N1 N 0.202 0.202 0.891
N2 N 0.927 0.927 0.501
```

---

(5)
The following is a computed powder XRD pattern of EuErO3. It was derived from DFT lattice parameters and positions (GGA-PBE), using copper Kα.
Peak positions follow from Bragg's law for the DFT cell and can differ from measured ones.

Principal peaks in the range 10 to 90 degrees two-theta, by intensity:
d = 3.043 Å, I 1000; d = 1.757 Å, I 417; d = 2.152 Å, I 281; d = 1.150 Å, I 218; d = 1.361 Å, I 182; d = 1.522 Å, I 180; d = 1.242 Å, I 60; d = 4.304 Å, I 13; d = 2.485 Å, I 6

Atomic structure:
```
data_EuErO3
_chemical_formula_sum 'Eu1 Er1 O3'
_cell_length_a 4.304
_cell_length_b 4.304
_cell_length_c 4.304
_cell_angle_alpha 90.00
_cell_angle_beta 90.00
_cell_angle_gamma 90.00
_space_group_name_H-M_alt 'P 1'
_space_group_IT_number 1
loop_
_space_group_symop_operation_xyz
'x,y,z'
loop_
_atom_site_label
_atom_site_type_symbol
_atom_site_fract_x
_atom_site_fract_y
_atom_site_fract_z
Eu1 Eu 0.000 0.000 0.000
Er1 Er 0.500 0.500 0.500
O1 O 0.000 0.500 0.500
O2 O 0.500 0.000 0.500
O3 O 0.500 0.500 0.000
```

---

(6)
The following is a computed powder XRD pattern of CdBi12Cl14O12. It was derived from DFT lattice parameters and positions (GGA-PBE), using copper Kα.
Peak positions follow from Bragg's law for the DFT cell and can differ from measured ones.

Principal peaks in the range 10 to 90 degrees two-theta, by intensity:
d = 3.462 Å, I 1000; d = 2.810 Å, I 889; d = 8.780 Å, I 704; d = 2.757 Å, I 696; d = 1.602 Å, I 331; d = 1.950 Å, I 326; d = 1.699 Å, I 295; d = 2.224 Å, I 290; d = 1.904 Å, I 282; d = 2.610 Å, I 257

Atomic structure:
```
data_CdBi12Cl14O12
_chemical_formula_sum 'Cd1 Bi12 Cl14 O12'
_cell_length_a 26.485
_cell_length_b 26.485
_cell_length_c 5.514
_cell_angle_alpha 90.00
_cell_angle_beta 90.00
_cell_angle_gamma 168.05
_space_group_name_H-M_alt 'P 1'
_space_group_IT_number 1
loop_
_space_group_symop_operation_xyz
'x,y,z'
loop_
_atom_site_label
_atom_site_type_symbol
_atom_site_fract_x
_atom_site_fract_y
_atom_site_fract_z
Cd1 Cd 0.000 0.000 0.000
Bi1 Bi 0.079 0.921 0.500
Bi2 Bi 0.128 0.872 0.000
Bi3 Bi 0.226 0.774 0.500
Bi4 Bi 0.274 0.726 0.000
Bi5 Bi 0.372 0.628 0.500
Bi6 Bi 0.421 0.579 0.000
Bi7 Bi 0.579 0.421 0.000
Bi8 Bi 0.628 0.372 0.500
Bi9 Bi 0.726 0.274 0.000
Bi10 Bi 0.774 0.226 0.500
Bi11 Bi 0.872 0.128 0.000
Bi12 Bi 0.921 0.079 0.500
Cl1 Cl 0.000 0.000 0.500
Cl2 Cl 0.052 0.948 0.000
Cl3 Cl 0.154 0.846 0.500
Cl4 Cl 0.199 0.801 0.000
Cl5 Cl 0.300 0.700 0.500
Cl6 Cl 0.346 0.654 0.000
Cl7 Cl 0.445 0.555 0.500
Cl8 Cl 0.500 0.500 0.000
Cl9 Cl 0.555 0.445 0.500
Cl10 Cl 0.654 0.346 0.000
Cl11 Cl 0.700 0.300 0.500
Cl12 Cl 0.801 0.199 0.000
Cl13 Cl 0.846 0.154 0.500
Cl14 Cl 0.948 0.052 0.000
O1 O 0.000 0.500 0.250
O2 O 0.000 0.500 0.750
O3 O 0.144 0.352 0.248
O4 O 0.144 0.352 0.752
O5 O 0.352 0.144 0.248
O6 O 0.352 0.144 0.752
O7 O 0.500 0.000 0.250
O8 O 0.500 0.000 0.750
O9 O 0.648 0.856 0.248
O10 O 0.648 0.856 0.752
O11 O 0.856 0.648 0.248
O12 O 0.856 0.648 0.752
```